Ba7SbP2Se2: theoretical powder XRD pattern (Cu Kα), based on a GGA-PBE-relaxed structure.
Peak positions follow from Bragg's law for the DFT cell and can differ from measured ones.

Largest 12 diffraction maxima, by angle, 2θ = 5–70°:
| two_theta | I_rel |
| --- | --- |
| 24.1 | 100.0 |
| 27.4 | 39.3 |
| 27.7 | 51.9 |
| 28.7 | 41.8 |
| 29.0 | 11.4 |
| 39.3 | 29.4 |
| 40.0 | 28.7 |
| 40.2 | 32.6 |
| 45.2 | 13.8 |
| 46.8 | 16.8 |
| 49.4 | 24.2 |
| 64.5 | 13.3 |

a b c (Å): 13.2740 13.2740 13.2740
angles (deg): 151.87 40.43 151.56
Sites, in units of the cell vectors:
Ba1 0.0000 0.0000 0.0000
Ba2 0.1291 0.8871 0.2420
Ba3 0.2771 0.3933 0.8838
Ba4 0.5095 0.3933 0.1162
Ba5 0.6452 0.8871 0.7580
Ba6 0.7693 0.3802 0.3890
Ba7 0.9912 0.3802 0.6110
Sb1 0.2998 0.7998 0.5000
P1 0.7579 0.8765 0.8814
P2 0.9950 0.8765 0.1186
Se1 0.1365 0.3867 0.7498
Se2 0.6369 0.3867 0.2502


Ti7Re3: theoretical powder XRD pattern (Cu Kα), based on a GGA-PBE-relaxed structure.
Peak positions follow from Bragg's law for the DFT cell and can differ from measured ones.

Largest 12 diffraction maxima, by angle, 2θ = 5–70°:
| two_theta | I_rel |
| --- | --- |
| 12.0 | 32.1 |
| 20.6 | 88.2 |
| 29.5 | 24.9 |
| 32.1 | 19.6 |
| 33.6 | 28.1 |
| 36.4 | 20.1 |
| 36.6 | 22.1 |
| 40.4 | 100.0 |
| 41.8 | 44.0 |
| 47.2 | 31.0 |
| 47.7 | 19.0 |
| 64.7 | 24.6 |

a b c (Å): 8.5064 8.5064 5.3324
angles (deg): 90.00 90.00 120.00
Sites, in units of the cell vectors:
Ti1 0.0000 0.5000 0.0000
Ti2 0.0000 0.5000 0.5000
Ti3 0.1231 0.2463 0.2500
Ti4 0.1231 0.8769 0.2500
Ti5 0.2463 0.1231 0.7500
Ti6 0.3333 0.6667 0.2500
Ti7 0.5000 0.0000 0.0000
Ti8 0.5000 0.0000 0.5000
Ti9 0.5000 0.5000 0.0000
Ti10 0.5000 0.5000 0.5000
Ti11 0.6667 0.3333 0.7500
Ti12 0.7537 0.8769 0.2500
Ti13 0.8769 0.1231 0.7500
Ti14 0.8769 0.7537 0.7500
Re1 0.2219 0.4438 0.7500
Re2 0.2219 0.7781 0.7500
Re3 0.4438 0.2219 0.2500
Re4 0.5562 0.7781 0.7500
Re5 0.7781 0.2219 0.2500
Re6 0.7781 0.5562 0.2500


Tb2Pm4Tm: theoretical powder XRD pattern (Cu Kα), based on a GGA-PBE-relaxed structure.
Peak positions follow from Bragg's law for the DFT cell and can differ from measured ones.

Largest 12 diffraction maxima, by angle, 2θ = 5–70°:
| two_theta | I_rel |
| --- | --- |
| 29.4 | 100.0 |
| 29.6 | 53.1 |
| 31.2 | 88.0 |
| 32.7 | 16.2 |
| 33.6 | 87.7 |
| 34.2 | 33.3 |
| 38.0 | 18.4 |
| 48.3 | 21.3 |
| 57.6 | 23.3 |
| 58.6 | 17.8 |
| 60.8 | 30.5 |
| 61.1 | 15.5 |

a b c (Å): 6.2548 6.2548 15.6214
angles (deg): 90.00 90.00 129.52
Sites, in units of the cell vectors:
Tb1 0.1081 0.8919 0.8441
Tb2 0.3919 0.6081 0.3441
Tb3 0.6081 0.3919 0.6559
Tb4 0.8919 0.1081 0.1559
Pm1 0.0969 0.9031 0.3063
Pm2 0.2033 0.7967 0.0700
Pm3 0.2967 0.7033 0.5700
Pm4 0.4031 0.5969 0.8063
Pm5 0.5969 0.4031 0.1937
Pm6 0.7033 0.2967 0.4300
Pm7 0.7967 0.2033 0.9300
Pm8 0.9031 0.0969 0.6937
Tm1 0.0000 0.0000 0.5000
Tm2 0.5000 0.5000 0.0000


Dy8Al3Sb2: theoretical powder XRD pattern (Cu Kα), based on a GGA-PBE-relaxed structure.
Peak positions follow from Bragg's law for the DFT cell and can differ from measured ones.

Largest 12 diffraction maxima, by angle, 2θ = 5–70°:
| two_theta | I_rel |
| --- | --- |
| 23.7 | 24.3 |
| 25.3 | 42.2 |
| 34.9 | 100.0 |
| 35.7 | 24.4 |
| 36.5 | 23.1 |
| 43.3 | 10.0 |
| 44.0 | 9.6 |
| 48.4 | 8.8 |
| 52.0 | 16.8 |
| 55.4 | 10.0 |
| 63.6 | 17.3 |
| 64.7 | 18.0 |

a b c (Å): 9.0481 9.0481 4.9236
angles (deg): 90.00 90.00 112.38
Sites, in units of the cell vectors:
Dy1 0.1113 0.8887 0.0000
Dy2 0.1343 0.3767 0.5000
Dy3 0.3724 0.6276 0.0000
Dy4 0.3767 0.1343 0.5000
Dy5 0.6233 0.8657 0.5000
Dy6 0.6276 0.3724 0.0000
Dy7 0.8657 0.6233 0.5000
Dy8 0.8887 0.1113 0.0000
Al1 0.2555 0.2555 0.0000
Al2 0.5000 0.5000 0.5000
Al3 0.7445 0.7445 0.0000
Sb1 0.2386 0.7614 0.5000
Sb2 0.7614 0.2386 0.5000


Pu6Ge3Os: theoretical powder XRD pattern (Cu Kα), based on a GGA-PBE-relaxed structure.
Peak positions follow from Bragg's law for the DFT cell and can differ from measured ones.

Largest 12 diffraction maxima, by angle, 2θ = 5–70°:
| two_theta | I_rel |
| --- | --- |
| 21.8 | 30.6 |
| 28.6 | 14.7 |
| 31.8 | 15.3 |
| 36.2 | 100.0 |
| 36.9 | 9.3 |
| 38.9 | 16.5 |
| 40.2 | 23.8 |
| 52.2 | 10.3 |
| 56.7 | 19.3 |
| 59.6 | 15.1 |
| 61.5 | 12.2 |
| 62.4 | 9.8 |

a b c (Å): 7.7011 7.7011 7.7011
angles (deg): 78.46 78.46 78.46
Sites, in units of the cell vectors:
Pu1 0.0603 0.7351 0.7351
Pu2 0.1540 0.5190 0.5190
Pu3 0.2649 0.2649 0.9397
Pu4 0.2649 0.9397 0.2649
Pu5 0.4810 0.4810 0.8460
Pu6 0.4810 0.8460 0.4810
Pu7 0.5190 0.1540 0.5190
Pu8 0.5190 0.5190 0.1540
Pu9 0.7351 0.0603 0.7351
Pu10 0.7351 0.7351 0.0603
Pu11 0.8460 0.4810 0.4810
Pu12 0.9397 0.2649 0.2649
Ge1 0.1230 0.1230 0.6316
Ge2 0.1230 0.6316 0.1230
Ge3 0.3684 0.8770 0.8770
Ge4 0.6316 0.1230 0.1230
Ge5 0.8770 0.3684 0.8770
Ge6 0.8770 0.8770 0.3684
Os1 0.0000 0.0000 0.0000
Os2 0.5000 0.5000 0.5000


La12Tm3Th: theoretical powder XRD pattern (Cu Kα), based on a GGA-PBE-relaxed structure.
Peak positions follow from Bragg's law for the DFT cell and can differ from measured ones.

Largest 9 diffraction maxima, by angle, 2θ = 5–70°:
| two_theta | I_rel |
| --- | --- |
| 17.1 | 1.5 |
| 24.2 | 1.4 |
| 29.8 | 100.0 |
| 34.5 | 50.7 |
| 38.8 | 0.9 |
| 42.6 | 0.7 |
| 49.6 | 36.4 |
| 59.0 | 43.3 |
| 61.9 | 12.5 |

a b c (Å): 5.1970 5.1970 20.7681
angles (deg): 90.00 90.00 90.00
Sites, in units of the cell vectors:
La1 0.0000 0.0000 0.0000
La2 0.0000 0.0000 0.2474
La3 0.0000 0.0000 0.5000
La4 0.0000 0.0000 0.7526
La5 0.0000 0.5000 0.1249
La6 0.0000 0.5000 0.3776
La7 0.0000 0.5000 0.6224
La8 0.0000 0.5000 0.8751
La9 0.5000 0.0000 0.1249
La10 0.5000 0.0000 0.3776
La11 0.5000 0.0000 0.6224
La12 0.5000 0.0000 0.8751
Tm1 0.5000 0.5000 0.0000
Tm2 0.5000 0.5000 0.2487
Tm3 0.5000 0.5000 0.7513
Th1 0.5000 0.5000 0.5000


Repeat the third record exactly.
Tb2Pm4Tm: theoretical powder XRD pattern (Cu Kα), based on a GGA-PBE-relaxed structure.
Peak positions follow from Bragg's law for the DFT cell and can differ from measured ones.

Largest 12 diffraction maxima, by angle, 2θ = 5–70°:
| two_theta | I_rel |
| --- | --- |
| 29.4 | 100.0 |
| 29.6 | 53.1 |
| 31.2 | 88.0 |
| 32.7 | 16.2 |
| 33.6 | 87.7 |
| 34.2 | 33.3 |
| 38.0 | 18.4 |
| 48.3 | 21.3 |
| 57.6 | 23.3 |
| 58.6 | 17.8 |
| 60.8 | 30.5 |
| 61.1 | 15.5 |

a b c (Å): 6.2548 6.2548 15.6214
angles (deg): 90.00 90.00 129.52
Sites, in units of the cell vectors:
Tb1 0.1081 0.8919 0.8441
Tb2 0.3919 0.6081 0.3441
Tb3 0.6081 0.3919 0.6559
Tb4 0.8919 0.1081 0.1559
Pm1 0.0969 0.9031 0.3063
Pm2 0.2033 0.7967 0.0700
Pm3 0.2967 0.7033 0.5700
Pm4 0.4031 0.5969 0.8063
Pm5 0.5969 0.4031 0.1937
Pm6 0.7033 0.2967 0.4300
Pm7 0.7967 0.2033 0.9300
Pm8 0.9031 0.0969 0.6937
Tm1 0.0000 0.0000 0.5000
Tm2 0.5000 0.5000 0.0000